Entry 1:
This entry pairs a crystal structure of V3O10 with its calculated powder diffraction line list. Radiation: copper Kα. Structure: the PBE+U geometry in the Materials Project.
Lines closer than 0.1° are merged.

Atomic structure:
```
V3O10
1.0
8.967 0.000 0.000
0.000 8.967 0.000
0.000 0.000 5.410
V O
6 20
Direct
0.000 0.000 0.000
0.134 0.366 0.016
0.366 0.866 0.016
0.500 0.500 0.000
0.634 0.134 0.016
0.866 0.634 0.016
0.000 0.000 0.298
0.000 0.500 0.904
0.085 0.186 0.911
0.132 0.368 0.321
0.170 0.670 0.540
0.186 0.915 0.911
0.314 0.415 0.911
0.330 0.170 0.540
0.368 0.868 0.321
0.415 0.686 0.911
0.500 0.000 0.904
0.500 0.500 0.298
0.585 0.314 0.911
0.632 0.132 0.321
0.670 0.830 0.540
0.686 0.585 0.911
0.814 0.085 0.911
0.830 0.330 0.540
0.868 0.632 0.321
0.915 0.814 0.911
```

The 6 most intense peaks (10 to 90 degrees two-theta), most intense first:
| d_spacing | 2θ/deg | intensity |
| --- | --- | --- |
| 5.410 | 16.39 | 100 |
| 3.222 | 27.69 | 81 |
| 4.010 | 22.17 | 53 |
| 2.836 | 31.55 | 32 |
| 2.705 | 33.12 | 21 |
| 2.512 | 35.75 | 18 |

Entry 2:
This entry pairs a crystal structure of Mn3O2F4 with its calculated powder diffraction line list. Radiation: copper Kα. Structure: the PBE+U geometry in the Materials Project.
Lines closer than 0.1° are merged.

Atomic structure:
```
Mn3O2F4
1.0
5.801 0.000 0.000
0.000 4.762 0.000
-0.498 0.000 7.985
Mn O F
6 4 8
Direct
0.071 0.000 0.352
0.271 0.492 0.001
0.405 0.028 0.674
0.595 0.528 0.326
0.729 0.992 0.999
0.929 0.500 0.648
0.114 0.195 0.569
0.456 0.190 0.894
0.544 0.690 0.106
0.886 0.695 0.431
0.046 0.807 0.104
0.214 0.696 0.771
0.287 0.296 0.249
0.386 0.811 0.454
0.614 0.311 0.546
0.713 0.796 0.751
0.786 0.196 0.229
0.954 0.307 0.896
```

The 6 most intense peaks (10 to 90 degrees two-theta), most intense first:
| d_spacing | 2θ/deg | intensity |
| --- | --- | --- |
| 3.392 | 26.27 | 100 |
| 1.776 | 51.46 | 31 |
| 2.653 | 33.78 | 26 |
| 2.666 | 33.62 | 26 |
| 2.326 | 38.71 | 21 |
| 1.696 | 54.07 | 18 |

Entry 3:
This entry pairs a crystal structure of Cr3CuP4O16 with its calculated powder diffraction line list. Radiation: copper Kα. Structure: the PBE+U geometry in the Materials Project.
Lines closer than 0.1° are merged.

Atomic structure:
```
Cr3CuP4O16
1.0
4.787 0.000 0.000
0.000 5.806 0.000
-0.156 0.000 9.903
Cr Cu P O
3 1 4 16
Direct
0.000 0.000 0.000
0.062 0.500 0.547
0.565 0.000 0.506
0.460 0.500 0.058
0.126 0.000 0.683
0.443 0.000 0.180
0.613 0.500 0.370
0.959 0.500 0.870
0.215 0.000 0.831
0.272 0.205 0.604
0.272 0.795 0.604
0.278 0.500 0.885
0.281 0.201 0.103
0.281 0.799 0.103
0.299 0.500 0.389
0.372 0.000 0.329
0.685 0.500 0.222
0.755 0.000 0.158
0.767 0.295 0.449
0.767 0.705 0.449
0.811 0.000 0.666
0.825 0.289 0.944
0.825 0.711 0.944
0.871 0.500 0.722
```

The 6 most intense peaks (10 to 90 degrees two-theta), most intense first:
| d_spacing | 2θ/deg | intensity |
| --- | --- | --- |
| 2.903 | 30.80 | 100 |
| 4.951 | 17.91 | 92 |
| 4.336 | 20.48 | 78 |
| 2.446 | 36.74 | 71 |
| 3.473 | 25.65 | 69 |
| 2.476 | 36.28 | 64 |

Entry 4:
This entry pairs a crystal structure of BaLaCrMoO6 with its calculated powder diffraction line list. Radiation: copper Kα. Structure: the PBE+U geometry in the Materials Project.
Lines closer than 0.1° are merged.

Atomic structure:
```
BaLaCrMoO6
1.0
0.000 4.049 4.049
4.049 0.000 4.049
4.049 4.049 0.000
Ba La Cr Mo O
1 1 1 1 6
Direct
0.000 0.000 0.000
0.500 0.500 0.500
0.750 0.750 0.750
0.250 0.250 0.250
0.504 0.504 0.996
0.504 0.996 0.504
0.504 0.996 0.996
0.996 0.504 0.504
0.996 0.504 0.996
0.996 0.996 0.504
```

The 6 most intense peaks (10 to 90 degrees two-theta), most intense first:
| d_spacing | 2θ/deg | intensity |
| --- | --- | --- |
| 2.863 | 31.24 | 100 |
| 1.653 | 55.60 | 39 |
| 2.024 | 44.77 | 32 |
| 1.431 | 65.17 | 19 |
| 1.280 | 74.05 | 17 |
| 2.337 | 38.51 | 12 |

Entry 5:
This entry pairs a crystal structure of MgCo6O8F4 with its calculated powder diffraction line list. Radiation: copper Kα. Structure: the PBE+U geometry in the Materials Project.
Lines closer than 0.1° are merged.

Atomic structure:
```
MgCo6O8F4
1.0
5.611 0.000 0.000
-2.385 5.300 0.000
-1.154 -2.775 6.995
Mg Co O F
1 6 8 4
Direct
0.000 0.000 0.000
0.018 0.052 0.498
0.051 0.471 0.930
0.343 0.552 0.321
0.366 0.057 0.814
0.636 0.079 0.175
0.684 0.526 0.634
0.052 0.731 0.807
0.119 0.200 0.783
0.312 0.350 0.483
0.370 0.743 0.155
0.419 0.206 0.077
0.668 0.352 0.811
0.708 0.738 0.481
0.984 0.335 0.149
0.265 0.883 0.538
0.600 0.881 0.863
0.776 0.239 0.455
0.903 0.883 0.206
```

The 6 most intense peaks (10 to 90 degrees two-theta), most intense first:
| d_spacing | 2θ/deg | intensity |
| --- | --- | --- |
| 3.834 | 23.20 | 100 |
| 3.099 | 28.81 | 74 |
| 2.509 | 35.79 | 50 |
| 2.466 | 36.44 | 32 |
| 1.458 | 63.84 | 21 |
| 2.493 | 36.03 | 20 |

Entry 6:
This entry pairs a crystal structure of LiVF4 with its calculated powder diffraction line list. Radiation: copper Kα. Structure: the PBE+U geometry in the Materials Project.
Lines closer than 0.1° are merged.

Atomic structure:
```
LiVF4
1.0
5.231 -1.521 0.000
5.231 1.521 0.000
-3.793 0.000 5.224
Li V F
1 1 4
Direct
0.000 0.000 0.000
0.500 0.500 0.500
0.154 0.154 0.639
0.492 0.492 0.193
0.508 0.508 0.807
0.846 0.846 0.361
```

The 6 most intense peaks (10 to 90 degrees two-theta), most intense first:
| d_spacing | 2θ/deg | intensity |
| --- | --- | --- |
| 4.233 | 20.99 | 100 |
| 5.224 | 16.97 | 80 |
| 2.068 | 43.77 | 70 |
| 5.044 | 17.58 | 68 |
| 2.863 | 31.25 | 41 |
| 3.226 | 27.65 | 29 |

Entry 7:
This entry pairs a crystal structure of Sr2YCoCu2O7 with its calculated powder diffraction line list. Radiation: copper Kα. Structure: the PBE+U geometry in the Materials Project.
Lines closer than 0.1° are merged.

Atomic structure:
```
Sr2YCoCu2O7
1.0
5.461 0.000 0.000
-0.025 5.488 0.000
-2.716 -2.736 11.582
Sr Y Co Cu O
4 2 2 4 14
Direct
0.142 0.165 0.303
0.340 0.361 0.698
0.660 0.639 0.302
0.858 0.835 0.697
0.000 0.000 0.000
0.500 0.500 0.000
0.317 0.807 0.500
0.683 0.193 0.500
0.075 0.574 0.147
0.428 0.929 0.855
0.572 0.071 0.145
0.925 0.426 0.853
0.166 0.648 0.352
0.186 0.186 0.872
0.189 0.689 0.878
0.313 0.311 0.124
0.313 0.796 0.648
0.315 0.814 0.128
0.323 0.165 0.501
0.677 0.835 0.499
0.685 0.186 0.872
0.687 0.204 0.352
0.687 0.689 0.876
0.811 0.311 0.122
0.814 0.814 0.128
0.834 0.352 0.648
```

The 6 most intense peaks (10 to 90 degrees two-theta), most intense first:
| d_spacing | 2θ/deg | intensity |
| --- | --- | --- |
| 2.740 | 32.69 | 100 |
| 2.731 | 32.80 | 92 |
| 2.318 | 38.85 | 36 |
| 1.931 | 47.06 | 29 |
| 1.580 | 58.43 | 24 |
| 1.940 | 46.83 | 22 |

Question: What is the formula in the fifth record?
Answer: MgCo6O8F4